Computed X-ray diffraction stick pattern
Compound: La2Ti2CuO8
Radiation: Cu Kα, 1.54184 Å
Structure: a crystal structure in the Materials Project, relaxed with PBE
Neutral-atom scattering factors, no anomalous dispersion.

Cell and atoms:
```
13
Lattice="3.7492 0.0000 0.0000 0.0000 3.7492 0.0000 0.0000 0.0000 12.1630" Properties=species:S:1:pos:R:3 pbc="T T T"
La 0.0000 1.8746 1.4510
La 1.8746 0.0000 10.7120
Ti 0.0000 1.8746 8.4856
Ti 1.8746 0.0000 3.6774
Cu 0.0000 0.0000 6.0815
O 0.0000 0.0000 3.1896
O 0.0000 0.0000 8.9734
O 0.0000 1.8746 6.6760
O 0.0000 1.8746 11.2295
O 1.8746 0.0000 0.9335
O 1.8746 0.0000 5.4870
O 1.8746 1.8746 3.1421
O 1.8746 1.8746 9.0209
```

The 12 most intense peaks (2θ from 10° to 80°), low angle first:
| index | Position (°2θ) | I/Imax |
| --- | --- | --- |
| 1 0 1 | 24.85 | 12 |
| 1 0 2 | 27.96 | 100 |
| 1 0 3 | 32.53 | 29 |
| 1 1 0 | 33.81 | 25 |
| 1 1 1 | 34.63 | 30 |
| 0 0 5 | 36.95 | 21 |
| 1 0 5 | 44.39 | 12 |
| 1 1 4 | 45.39 | 34 |
| 2 0 0 | 48.57 | 30 |
| 2 1 2 | 56.97 | 26 |
| 1 0 7 | 58.55 | 11 |
| 2 0 5 | 62.56 | 16 |